Entry 1:
Structure and theoretical X-ray powder pattern of UAl20V2 (a GGA-PBE-relaxed structure; Cu Kα (weighted mean of Kα1 and Kα2)).
Intensities are scaled so that the largest is 100.

Main lines, sorted by position (10° ≤ 2θ ≤ 90°):
| Position (°2θ) | I/Imax |
| --- | --- |
| 17.4 | 87 |
| 20.4 | 100 |
| 30.3 | 41 |
| 35.1 | 46 |
| 36.8 | 93 |
| 39.5 | 68 |
| 41.0 | 74 |
| 53.9 | 42 |

Cell lengths 10.214, 10.214, 10.214 Å; angles 60.00, 60.00, 60.00 degrees
Fractional positions:
U1 0.125 0.125 0.125
U2 0.875 0.875 0.875
Al1 0.000 0.000 0.000
Al2 0.000 0.000 0.500
Al3 0.000 0.500 0.000
Al4 0.057 0.324 0.324
Al5 0.057 0.324 0.795
Al6 0.057 0.795 0.324
Al7 0.205 0.676 0.676
Al8 0.205 0.676 0.943
Al9 0.205 0.943 0.676
Al10 0.238 0.238 0.512
Al11 0.238 0.512 0.238
Al12 0.238 0.512 0.512
Al13 0.324 0.057 0.324
Al14 0.324 0.057 0.795
Al15 0.324 0.324 0.057
Al16 0.324 0.324 0.795
Al17 0.324 0.795 0.057
Al18 0.324 0.795 0.324
Al19 0.488 0.488 0.762
Al20 0.488 0.762 0.488
Al21 0.488 0.762 0.762
Al22 0.500 0.000 0.000
Al23 0.512 0.238 0.238
Al24 0.512 0.238 0.512
Al25 0.512 0.512 0.238
Al26 0.676 0.205 0.676
Al27 0.676 0.205 0.943
Al28 0.676 0.676 0.205
Al29 0.676 0.676 0.943
Al30 0.676 0.943 0.205
Al31 0.676 0.943 0.676
Al32 0.762 0.488 0.488
Al33 0.762 0.488 0.762
Al34 0.762 0.762 0.488
Al35 0.795 0.057 0.324
Al36 0.795 0.324 0.057
Al37 0.795 0.324 0.324
Al38 0.943 0.205 0.676
Al39 0.943 0.676 0.205
Al40 0.943 0.676 0.676
V1 0.000 0.500 0.500
V2 0.500 0.000 0.500
V3 0.500 0.500 0.000
V4 0.500 0.500 0.500



Entry 2:
Structure and theoretical X-ray powder pattern of RbAl6H20N5F24 (a GGA-PBE-relaxed structure; Cu Kα (weighted mean of Kα1 and Kα2)).
Intensities are scaled so that the largest is 100.

Main lines, sorted by position (10° ≤ 2θ ≤ 90°):
| Position (°2θ) | I/Imax |
| --- | --- |
| 12.2 | 100 |
| 24.4 | 48 |
| 24.5 | 26 |
| 25.3 | 54 |
| 27.0 | 33 |
| 27.2 | 24 |
| 38.4 | 30 |
| 49.4 | 23 |

Cell lengths 5.205, 5.234, 21.855 Å; angles 88.94, 89.72, 89.89 degrees
Fractional positions:
Rb1 0.000 0.000 0.000
Al1 0.016 0.468 0.829
Al2 0.108 0.593 0.157
Al3 0.393 0.717 0.509
Al4 0.524 0.962 0.844
Al5 0.603 0.095 0.150
Al6 0.895 0.222 0.499
H1 0.033 0.102 0.336
H2 0.097 0.522 0.020
H3 0.154 0.922 0.278
H4 0.166 0.248 0.273
H5 0.228 0.088 0.716
H6 0.381 0.216 0.389
H7 0.426 0.912 0.400
H8 0.466 0.627 0.955
H9 0.484 0.308 0.942
H10 0.515 0.404 0.014
H11 0.517 0.189 0.379
H12 0.570 0.978 0.772
H13 0.636 0.234 0.659
H14 0.690 0.711 0.628
H15 0.744 0.472 0.962
H16 0.817 0.511 0.363
H17 0.883 0.089 0.267
H18 0.921 0.717 0.685
H19 0.949 0.898 0.620
H20 0.978 0.576 0.617
N1 0.064 0.092 0.289
N2 0.464 0.218 0.683
N3 0.548 0.455 0.969
N4 0.752 0.680 0.341
N5 0.885 0.725 0.638
F1 0.052 0.494 0.971
F2 0.082 0.990 0.733
F3 0.091 0.601 0.236
F4 0.146 0.966 0.508
F5 0.147 0.477 0.500
F6 0.160 0.578 0.069
F7 0.265 0.703 0.845
F8 0.267 0.233 0.846
F9 0.350 0.341 0.158
F10 0.352 0.753 0.415
F11 0.357 0.840 0.151
F12 0.409 0.697 0.588
F13 0.487 0.959 0.927
F14 0.574 0.123 0.068
F15 0.625 0.077 0.231
F16 0.637 0.967 0.497
F17 0.639 0.478 0.492
F18 0.787 0.702 0.859
F19 0.792 0.226 0.860
F20 0.859 0.349 0.146
F21 0.865 0.846 0.140
F22 0.874 0.230 0.580
F23 0.927 0.209 0.418
F24 0.961 0.485 0.753



Entry 3:
Structure and theoretical X-ray powder pattern of Li3Tc (a GGA-PBE-relaxed structure; Cu Kα (weighted mean of Kα1 and Kα2)).
Intensities are scaled so that the largest is 100.

Main lines, sorted by position (10° ≤ 2θ ≤ 90°):
| Position (°2θ) | I/Imax |
| --- | --- |
| 24.9 | 100 |
| 28.8 | 51 |
| 41.1 | 57 |
| 48.7 | 47 |
| 65.6 | 19 |
| 67.5 | 17 |
| 75.0 | 18 |
| 80.4 | 14 |

Cell lengths 6.205, 6.205, 6.205 Å; angles 90.00, 90.00, 90.00 degrees
Fractional positions:
Li1 0.000 0.000 0.000
Li2 0.000 0.500 0.500
Li3 0.250 0.250 0.250
Li4 0.250 0.250 0.750
Li5 0.250 0.750 0.250
Li6 0.250 0.750 0.750
Li7 0.500 0.000 0.500
Li8 0.500 0.500 0.000
Li9 0.750 0.250 0.250
Li10 0.750 0.250 0.750
Li11 0.750 0.750 0.250
Li12 0.750 0.750 0.750
Tc1 0.000 0.000 0.500
Tc2 0.000 0.500 0.000
Tc3 0.500 0.000 0.000
Tc4 0.500 0.500 0.500



Entry 4:
Structure and theoretical X-ray powder pattern of K3SbS4 (a GGA-PBE-relaxed structure; Cu Kα (weighted mean of Kα1 and Kα2)).
Intensities are scaled so that the largest is 100.

Main lines, sorted by position (10° ≤ 2θ ≤ 90°):
| Position (°2θ) | I/Imax |
| --- | --- |
| 15.3 | 28 |
| 15.9 | 98 |
| 22.4 | 41 |
| 22.7 | 27 |
| 27.1 | 36 |
| 28.1 | 44 |
| 32.1 | 100 |
| 32.9 | 26 |

Cell lengths 7.942, 7.942, 7.826 Å; angles 90.00, 90.00, 93.33 degrees
Fractional positions:
K1 0.195 0.805 0.500
K2 0.244 0.318 0.494
K3 0.318 0.244 0.994
K4 0.682 0.756 0.494
K5 0.756 0.682 0.994
K6 0.805 0.195 0.000
Sb1 0.258 0.742 0.999
Sb2 0.742 0.258 0.499
S1 0.075 0.925 0.136
S2 0.097 0.548 0.826
S3 0.408 0.592 0.207
S4 0.452 0.903 0.826
S5 0.548 0.097 0.326
S6 0.592 0.408 0.707
S7 0.903 0.452 0.326
S8 0.925 0.075 0.636



Entry 5:
Structure and theoretical X-ray powder pattern of SiO2 (a GGA-PBE-relaxed structure; Cu Kα (weighted mean of Kα1 and Kα2)).
Intensities are scaled so that the largest is 100.

Main lines, sorted by position (10° ≤ 2θ ≤ 90°):
| Position (°2θ) | I/Imax |
| --- | --- |
| 12.6 | 41 |
| 18.6 | 16 |
| 19.5 | 100 |
| 19.8 | 18 |
| 23.3 | 95 |
| 23.5 | 22 |
| 24.1 | 53 |
| 25.3 | 42 |

Cell lengths 11.395, 11.395, 5.285 Å; angles 90.00, 90.00, 103.67 degrees
Fractional positions:
Si1 0.083 0.506 0.250
Si2 0.119 0.881 0.750
Si3 0.159 0.255 0.250
Si4 0.223 0.777 0.250
Si5 0.255 0.159 0.750
Si6 0.494 0.917 0.250
Si7 0.506 0.083 0.750
Si8 0.745 0.841 0.250
Si9 0.777 0.223 0.750
Si10 0.841 0.745 0.750
Si11 0.881 0.119 0.250
Si12 0.917 0.494 0.750
O1 0.000 0.500 0.000
O2 0.000 0.500 0.500
O3 0.028 0.159 0.250
O4 0.147 0.393 0.250
O5 0.159 0.028 0.750
O6 0.171 0.829 0.001
O7 0.171 0.829 0.499
O8 0.186 0.631 0.250
O9 0.234 0.234 0.000
O10 0.234 0.234 0.500
O11 0.369 0.814 0.250
O12 0.393 0.147 0.750
O13 0.500 0.000 0.000
O14 0.500 0.000 0.500
O15 0.607 0.853 0.250
O16 0.631 0.186 0.750
O17 0.766 0.766 0.000
O18 0.766 0.766 0.500
O19 0.814 0.369 0.750
O20 0.829 0.171 0.501
O21 0.829 0.171 0.999
O22 0.841 0.972 0.250
O23 0.853 0.607 0.750
O24 0.972 0.841 0.750



Entry 6:
Structure and theoretical X-ray powder pattern of CsHg2 (a GGA-PBE-relaxed structure; Cu Kα (weighted mean of Kα1 and Kα2)).
Intensities are scaled so that the largest is 100.

Main lines, sorted by position (10° ≤ 2θ ≤ 90°):
| Position (°2θ) | I/Imax |
| --- | --- |
| 26.2 | 95 |
| 26.8 | 93 |
| 30.9 | 75 |
| 31.3 | 77 |
| 32.2 | 100 |
| 38.8 | 38 |
| 44.5 | 63 |
| 51.5 | 56 |

Cell lengths 5.787, 8.996, 9.520 Å; angles 90.00, 90.00, 90.00 degrees
Fractional positions:
Cs1 0.000 0.250 0.060
Cs2 0.000 0.750 0.940
Cs3 0.500 0.250 0.440
Cs4 0.500 0.750 0.560
Hg1 0.000 0.072 0.666
Hg2 0.000 0.428 0.666
Hg3 0.000 0.572 0.334
Hg4 0.000 0.928 0.334
Hg5 0.500 0.072 0.834
Hg6 0.500 0.428 0.834
Hg7 0.500 0.572 0.166
Hg8 0.500 0.928 0.166



Question: What is the formula in the fourth record?
Answer: K3SbS4